# 1
CsSmI3: simulated PXRD pattern (Cu Kα (weighted mean of Kα1 and Kα2)), based on a GGA-PBE-relaxed structure.

Principal peaks in the range 10 to 90 degrees two-theta, in order of rising 2θ:
| 2theta | I_rel | (hkl) |
| --- | --- | --- |
| 18.28 | 38 | 0 2 2 |
| 24.71 | 41 | 0 2 3 |
| 25.19 | 74 | 1 3 0 |
| 26.27 | 100 | 1 3 1 |
| 29.31 | 55 | 1 3 2 |
| 29.74 | 46 | 0 0 4 |
| 30.02 | 33 | 1 1 3 |
| 36.69 | 38 | 1 5 2 |
| 38.99 | 41 | 2 0 0 |
| 45.64 | 40 | 1 3 5 |

Structure:
```
data_CsSmI3
_chemical_formula_sum 'Cs4 Sm4 I12'
_cell_length_a 4.6211
_cell_length_b 16.4744
_cell_length_c 12.0171
_cell_angle_alpha 90.00
_cell_angle_beta 90.00
_cell_angle_gamma 90.00
_space_group_name_H-M_alt 'C m c m'
_space_group_IT_number 63
_space_group_name_Hall '-C 2c 2'
loop_
_atom_site_label
_atom_site_fract_x
_atom_site_fract_y
_atom_site_fract_z
Cs1 0.0000 0.2444 0.2500
Sm1 0.0000 0.0000 0.0000
I1 0.0000 0.0627 0.7500
I2 0.0000 0.3715 0.5454
```

# 2
MgBr2O6: simulated PXRD pattern (Cu Kα (weighted mean of Kα1 and Kα2)), based on a GGA-PBE-relaxed structure.

Principal peaks in the range 10 to 90 degrees two-theta, in order of rising 2θ:
| 2theta | I_rel | (hkl) |
| --- | --- | --- |
| 19.74 | 29 | 0 0 1 |
| 24.84 | 64 | 1 1 -1 |
| 26.55 | 73 | 1 1 1 |
| 27.33 | 78 | 2 0 1 |
| 28.42 | 100 | 0 2 0 |
| 32.83 | 60 | 4 0 0 |
| 32.96 | 82 | 2 2 0 |
| 34.89 | 57 | 0 2 1 |
| 44.62 | 28 | 1 1 2 |
| 50.61 | 38 | 4 2 1 |

Structure:
```
data_MgBr2O6
_chemical_formula_sum 'Mg2 Br4 O12'
_cell_length_a 11.0037
_cell_length_b 6.2700
_cell_length_c 4.5378
_cell_angle_alpha 90.00
_cell_angle_beta 97.65
_cell_angle_gamma 90.00
_space_group_name_H-M_alt 'C 1 2/m 1'
_space_group_IT_number 12
_space_group_name_Hall '-C 2y'
loop_
_atom_site_label
_atom_site_fract_x
_atom_site_fract_y
_atom_site_fract_z
Mg1 0.0000 0.0000 0.0000
Br1 0.2003 0.5000 0.1755
O1 0.0167 0.2260 0.3695
O2 0.1829 0.0000 0.0556
```